Record 1
The following is a calculated X-ray diffraction stick pattern of CrO2. It was derived from the GGA+U geometry in the Materials Project, using Cu Ka.
No peak broadening, texture or thermal motion is included.

Structural model:
```
data_CrO2
_cell_length_a 2.8637
_cell_length_b 5.2270
_cell_length_c 10.7885
_cell_angle_alpha 90.00
_cell_angle_beta 90.00
_cell_angle_gamma 90.00
_space_group_name_H-M_alt 'C m c m'
_space_group_IT_number 63
_space_group_name_Hall '-C 2c 2'
loop_
_atom_site_label
_atom_site_type_symbol
_atom_site_fract_x
_atom_site_fract_y
_atom_site_fract_z
Cr1 Cr 0.0000 0.0000 0.0000
O1 O 0.0000 0.3359 0.0892
```

Peak list (10 most intense, 15 to 90 degrees two-theta, low angle first)
- 16.43°, 5.394 Å, intensity 100, hkl 0 0 2
- 34.31°, 2.614 Å, intensity 5, hkl 0 2 0
- 35.75°, 2.511 Å, intensity 8, hkl 1 1 0
- 38.27°, 2.352 Å, intensity 10, hkl 0 2 2
- 39.58°, 2.277 Å, intensity 18, hkl 1 1 2
- 48.50°, 1.877 Å, intensity 8, hkl 0 2 4
- 49.60°, 1.838 Å, intensity 16, hkl 1 1 4
- 62.39°, 1.488 Å, intensity 6, hkl 1 3 0
- 63.65°, 1.462 Å, intensity 8, hkl 1 1 6
- 65.00°, 1.435 Å, intensity 7, hkl 1 3 2

Record 2
The following is a calculated X-ray diffraction stick pattern of Co5CuO8. It was derived from the GGA+U geometry in the Materials Project, using Cu Ka.
No peak broadening, texture or thermal motion is included.

Structural model:
```
data_Co5CuO8
_cell_length_a 5.8413
_cell_length_b 5.8641
_cell_length_c 10.1635
_cell_angle_alpha 74.32
_cell_angle_beta 74.28
_cell_angle_gamma 60.74
_space_group_name_H-M_alt 'P -1'
_space_group_IT_number 2
loop_
_space_group_symop_operation_xyz
'x,y,z'
'-x,-y,-z'
loop_
_atom_site_label
_atom_site_type_symbol
_atom_site_fract_x
_atom_site_fract_y
_atom_site_fract_z
Co1 Co 0.0000 0.0000 0.0000
Co2 Co 0.0000 0.0000 0.5000
Co3 Co 0.0000 0.5000 0.0000
Co4 Co 0.0610 0.5625 0.3093
Co5 Co 0.4388 0.9372 0.1829
Co6 Co 0.5000 0.0000 0.5000
Co7 Co 0.5000 0.5000 0.0000
Co8 Co 0.5000 0.5000 0.5000
Cu1 Cu 0.2498 0.7499 0.7506
O1 O 0.0986 0.1494 0.1108
O2 O 0.1282 0.6259 0.1085
O3 O 0.1372 0.1026 0.6245
O4 O 0.1380 0.6360 0.6207
O5 O 0.3510 0.4029 0.8885
O6 O 0.3586 0.8602 0.8879
O7 O 0.3717 0.8666 0.3839
O8 O 0.3948 0.3666 0.3770
```

Peak list (10 most intense, 15 to 90 degrees two-theta, low angle first)
- 30.16°, 2.963 Å, intensity 22, hkl 1 -1 0
- 30.44°, 2.936 Å, intensity 32, hkl 1 2 1
- 35.47°, 2.531 Å, intensity 20, hkl 0 1 -3
- 35.57°, 2.524 Å, intensity 100, hkl 1 -1 2
- 35.71°, 2.514 Å, intensity 38, hkl 2 1 -1
- 36.08°, 2.489 Å, intensity 40, hkl 1 2 3
- 36.22°, 2.480 Å, intensity 37, hkl 2 1 3
- 57.09°, 1.613 Å, intensity 24, hkl 0 3 -1
- 62.61°, 1.484 Å, intensity 18, hkl 2 2 -4
- 63.27°, 1.470 Å, intensity 34, hkl 2 0 6

Record 3
The following is a calculated X-ray diffraction stick pattern of Na3CoBPO7. It was derived from the GGA+U geometry in the Materials Project, using Cu Ka.
No peak broadening, texture or thermal motion is included.

Structural model:
```
data_Na3CoBPO7
_cell_length_a 6.6624
_cell_length_b 8.9244
_cell_length_c 10.5191
_cell_angle_alpha 88.21
_cell_angle_beta 89.77
_cell_angle_gamma 89.94
_space_group_name_H-M_alt 'P 1'
_space_group_IT_number 1
loop_
_space_group_symop_operation_xyz
'x,y,z'
loop_
_atom_site_label
_atom_site_type_symbol
_atom_site_fract_x
_atom_site_fract_y
_atom_site_fract_z
Na1 Na 0.0000 0.0000 0.0000
Na2 Na 0.0007 0.0005 0.5002
Na3 Na 0.2445 0.8179 0.2556
Na4 Na 0.2468 0.8178 0.7549
Na5 Na 0.4941 0.0008 0.0001
Na6 Na 0.4964 0.9995 0.4996
Na7 Na 0.4998 0.4830 0.2505
Na8 Na 0.5004 0.4851 0.7539
Na9 Na 0.7461 0.6661 0.9977
Na10 Na 0.7497 0.6662 0.4979
Na11 Na 0.9940 0.4847 0.2544
Na12 Na 0.9947 0.4827 0.7511
Co1 Co 0.2416 0.4030 0.9902
Co2 Co 0.2532 0.4029 0.4903
Co3 Co 0.7430 0.0815 0.7627
Co4 Co 0.7435 0.0812 0.2618
B1 B 0.2465 0.6758 0.5124
B2 B 0.2496 0.6759 0.0125
B3 B 0.7475 0.8081 0.2413
B4 B 0.7502 0.8086 0.7408
P1 P 0.2457 0.1656 0.2349
P2 P 0.2477 0.1657 0.7348
P3 P 0.7463 0.3190 0.0185
P4 P 0.7483 0.3187 0.5178
O1 O 0.0611 0.0650 0.2665
O2 O 0.0632 0.0649 0.7654
O3 O 0.2413 0.6020 0.3961
O4 O 0.2457 0.2091 0.0884
O5 O 0.2472 0.3100 0.3112
O6 O 0.2472 0.3100 0.8112
O7 O 0.2473 0.5729 0.6150
O8 O 0.2478 0.5729 0.1150
O9 O 0.2478 0.8257 0.0226
O10 O 0.2497 0.2094 0.5884
O11 O 0.2496 0.8256 0.5223
O12 O 0.2543 0.6022 0.8961
O13 O 0.4327 0.0657 0.2645
O14 O 0.4348 0.0658 0.7649
O15 O 0.5613 0.4188 0.4881
O16 O 0.5626 0.4198 0.9864
O17 O 0.7442 0.2762 0.1651
O18 O 0.7457 0.6586 0.2293
O19 O 0.7455 0.9124 0.1391
O20 O 0.7472 0.1748 0.4409
O21 O 0.7467 0.2746 0.6642
O22 O 0.7479 0.1745 0.9423
O23 O 0.7487 0.6587 0.7307
O24 O 0.7488 0.9116 0.6383
O25 O 0.7522 0.8808 0.3576
O26 O 0.7543 0.8823 0.8572
O27 O 0.9328 0.4197 0.4877
O28 O 0.9342 0.4186 0.9895
```

Peak list (10 most intense, 15 to 90 degrees two-theta, low angle first)
- 16.61°, 5.338 Å, intensity 49, hkl 1 1 0
- 19.33°, 4.592 Å, intensity 33, hkl 0 1 2
- 19.88°, 4.466 Å, intensity 38, hkl 0 1 -2
- 25.79°, 3.455 Å, intensity 38, hkl 0 2 2
- 26.76°, 3.331 Å, intensity 91, hkl 2 0 0
- 33.16°, 2.702 Å, intensity 29, hkl 2 1 2
- 33.29°, 2.691 Å, intensity 28, hkl -2 1 2
- 33.57°, 2.670 Å, intensity 90, hkl 2 -2 0
- 34.13°, 2.627 Å, intensity 100, hkl 0 0 4
- 55.14°, 1.666 Å, intensity 33, hkl 4 0 0